No. 1
Theoretical XRD peak list of Cr3Cd3GaO8 for a wavelength of 1.5418 Å, from a GGA+U-relaxed structure.
Peak positions follow from Bragg's law for the DFT cell and can differ from measured ones.

Cell and atoms:
Cell lengths 6.7919, 6.7919, 6.7919 Å; angles 53.40, 53.40, 53.40 degrees
Atoms (fractional coordinates):
Cr 0.0000 0.5000 0.5000
Cr 0.5000 0.0000 0.5000
Cr 0.5000 0.5000 0.0000
Cd 0.0000 0.0000 0.5000
Cd 0.0000 0.5000 0.0000
Cd 0.5000 0.0000 0.0000
Ga 0.0000 0.0000 0.0000
O 0.2248 0.2248 0.7331
O 0.2248 0.7331 0.2248
O 0.2669 0.7752 0.7752
O 0.2733 0.2733 0.2733
O 0.7267 0.7267 0.7267
O 0.7331 0.2248 0.2248
O 0.7752 0.2669 0.7752
O 0.7752 0.7752 0.2669

Most intense lines, 2θ = 10–80°, in order of falling intensity:
- 2θ = 39.90°, I 100
- 2θ = 35.50°, I 60
- 2θ = 30.79°, I 42
- 2θ = 54.61°, I 32
- 2θ = 17.54°, I 31
- 2θ = 60.70°, I 27
- 2θ = 69.61°, I 21
- 2θ = 64.02°, I 15
- 2θ = 75.14°, I 14
- 2θ = 33.17°, I 13

=====

No. 2
Theoretical XRD peak list of Cr2CdH14N4O8 for a wavelength of 1.5418 Å, from a GGA+U-relaxed structure.
Peak positions follow from Bragg's law for the DFT cell and can differ from measured ones.

Cell and atoms:
Cell lengths 6.2777, 7.0454, 7.8351 Å; angles 69.32, 89.04, 64.48 degrees
Atoms (fractional coordinates):
Cr 0.1534 0.1713 0.2255
Cr 0.8466 0.8287 0.7745
Cd 0.5000 0.5000 0.0000
H 0.1053 0.0564 0.7922
H 0.1165 0.3061 0.7602
H 0.1535 0.2134 0.5857
H 0.3220 0.4503 0.3157
H 0.3663 0.0617 0.7824
H 0.3938 0.6298 0.6213
H 0.4104 0.6475 0.2975
H 0.5896 0.3525 0.7025
H 0.6062 0.3702 0.3787
H 0.6337 0.9383 0.2176
H 0.6780 0.5497 0.6843
H 0.8465 0.7866 0.4143
H 0.8835 0.6939 0.2398
H 0.8947 0.9436 0.2078
N 0.1846 0.1616 0.7296
N 0.4581 0.4953 0.2830
N 0.5419 0.5047 0.7170
N 0.8154 0.8384 0.2704
O 0.0739 0.3500 0.3365
O 0.0867 0.7882 0.9014
O 0.2794 0.9059 0.3768
O 0.3545 0.2093 0.0918
O 0.6455 0.7907 0.9082
O 0.7206 0.0941 0.6232
O 0.9133 0.2118 0.0986
O 0.9261 0.6500 0.6635

Most intense lines, 2θ = 10–80°, in order of falling intensity:
- 2θ = 15.36°, I 100
- 2θ = 12.23°, I 64
- 2θ = 27.14°, I 64
- 2θ = 21.59°, I 47
- 2θ = 26.54°, I 47
- 2θ = 23.42°, I 46
- 2θ = 28.45°, I 45
- 2θ = 22.23°, I 39
- 2θ = 38.16°, I 19
- 2θ = 32.74°, I 16

=====

No. 3
Theoretical XRD peak list of Rb2Cr2CdH4O10 for a wavelength of 1.5418 Å, from a GGA+U-relaxed structure.
Peak positions follow from Bragg's law for the DFT cell and can differ from measured ones.

Cell and atoms:
Cell lengths 6.8868, 7.9537, 11.6619 Å; angles 72.42, 75.29, 67.50 degrees
Atoms (fractional coordinates):
Rb 0.1897 0.2480 0.1002
Rb 0.2712 0.7366 0.4208
Rb 0.7288 0.2634 0.5792
Rb 0.8103 0.7520 0.8998
Cr 0.2595 0.2281 0.4165
Cr 0.2734 0.7705 0.0758
Cr 0.7266 0.2295 0.9242
Cr 0.7405 0.7719 0.5835
Cd 0.2504 0.0273 0.7539
Cd 0.7496 0.9727 0.2461
H 0.1589 0.4277 0.7027
H 0.3341 0.6196 0.8319
H 0.3425 0.3377 0.7892
H 0.3701 0.6952 0.6921
H 0.6299 0.3048 0.3079
H 0.6575 0.6623 0.2108
H 0.6659 0.3804 0.1681
H 0.8411 0.5723 0.2973
O 0.0410 0.3825 0.3650
O 0.1114 0.8816 0.1850
O 0.1617 0.6442 0.0448
O 0.1893 0.1036 0.5548
O 0.2633 0.7204 0.7666
O 0.2840 0.3166 0.7268
O 0.3219 0.9304 0.9500
O 0.3859 0.0851 0.3200
O 0.4205 0.3355 0.4225
O 0.4942 0.3637 0.8764
O 0.5058 0.6363 0.1236
O 0.5795 0.6645 0.5775
O 0.6141 0.9149 0.6800
O 0.6781 0.0696 0.0500
O 0.7160 0.6834 0.2732
O 0.7367 0.2796 0.2334
O 0.8107 0.8964 0.4452
O 0.8383 0.3558 0.9552
O 0.8886 0.1184 0.8150
O 0.9590 0.6175 0.6350

Most intense lines, 2θ = 10–80°, in order of falling intensity:
- 2θ = 26.18°, I 100
- 2θ = 28.41°, I 70
- 2θ = 30.13°, I 63
- 2θ = 22.85°, I 56
- 2θ = 12.38°, I 46
- 2θ = 32.84°, I 35
- 2θ = 28.01°, I 33
- 2θ = 26.44°, I 27
- 2θ = 26.94°, I 24
- 2θ = 46.43°, I 23